Na2Sc2Si2PdPt: simulated X-ray powder pattern (λ = 1.5418 Å (Cu Kα)), based on a crystal structure in OQMD, relaxed with GGA-PBE.
Intensities are scaled so that the largest is 100.

Largest 10 diffraction maxima, in order of falling intensity, 2θ = 5–70°:
2θ = 39.82°, d 2.264, I 100; 2θ = 24.07°, d 3.697, I 65; 2θ = 47.07°, d 1.931, I 33; 2θ = 27.87°, d 3.202, I 21; 2θ = 57.58°, d 1.601, I 16; 2θ = 63.31°, d 1.469, I 14; 2θ = 65.15°, d 1.432, I 8; 2θ = 49.30°, d 1.848, I 6; 2θ = 13.83°, d 6.404, I 6; 2θ = 19.61°, d 4.528, I 5

Structural model:
a = 4.528 Å, b = 4.528 Å, c = 6.404 Å
α = 90.00°, β = 90.00°, γ = 90.00°
Space group P-4m2 (No. 115)
One atom of each set of equivalent atoms:
Na 0.000 0.000 0.000
Na 0.500 0.500 0.500
Sc 0.000 0.500 0.249
Si 0.000 0.500 0.750
Pd 0.500 0.500 0.000
Pt 0.000 0.000 0.500